Cs2TlVO4: computed powder diffractogram (Cu Kα X-rays), based on a structure optimized by DFT (PBE+U).
Neutral-atom scattering factors, no anomalous dispersion.

Atomic structure:
abc: 6.2991 8.8854 6.8419
angles: 90.00 90.00 90.00
Fractional coordinates of all 16 atoms:
Cs (0.2500, 0.0090, 0.2394)
Cs (0.2500, 0.4910, 0.2394)
Cs (0.7500, 0.5090, 0.7606)
Cs (0.7500, 0.9910, 0.7606)
Tl (0.2500, 0.2500, 0.7313)
Tl (0.7500, 0.7500, 0.2687)
V (0.2500, 0.7500, 0.6704)
V (0.7500, 0.2500, 0.3296)
O (0.0205, 0.7500, 0.5208)
O (0.2500, 0.5884, 0.8126)
O (0.2500, 0.9116, 0.8126)
O (0.4795, 0.7500, 0.5208)
O (0.5205, 0.2500, 0.4792)
O (0.7500, 0.0884, 0.1874)
O (0.7500, 0.4116, 0.1874)
O (0.9795, 0.2500, 0.4792)

The 8 most intense peaks (2θ = 10–90°), sorted by position:
17.26°, intensity 120, (1 1 0); 26.05°, intensity 275, (0 0 2); 27.82°, intensity 1000, (1 2 1); 28.34°, intensity 264, (2 0 0); 38.87°, intensity 244, (2 0 2); 47.06°, intensity 191, (1 2 3); 49.85°, intensity 198, (3 2 1); 57.47°, intensity 130, (2 4 2)